Record 1
Cs2CaTl2Cl6: theoretical powder X-ray diffraction pattern (a wavelength of 1.5418 Å), based on a PBE-relaxed structure.

Principal peaks in the range 2θ = 10–90°, by angle:
(1 1 0), 12.57 deg, rel. 20; (1 1 -1), 14.99 deg, rel. 39; (1 1 1), 19.89 deg, rel. 27; (2 0 0), 21.73 deg, rel. 31; (1 3 -1), 23.59 deg, rel. 43; (0 0 2), 24.70 deg, rel. 19; (1 3 1), 27.02 deg, rel. 100; (2 0 -2), 27.29 deg, rel. 50; (3 3 -1), 36.87 deg, rel. 37; (2 0 2), 38.16 deg, rel. 17; (1 3 -3), 40.61 deg, rel. 33; (2 6 -2), 48.26 deg, rel. 22

```
data_Cs2CaTl2Cl6
_cell_length_a 8.628
_cell_length_b 13.857
_cell_length_c 7.604
_cell_angle_alpha 90.00
_cell_angle_beta 108.53
_cell_angle_gamma 90.00
_space_group_name_H-M_alt 'C 1 2/m 1'
_space_group_IT_number 12
loop_
_space_group_symop_operation_xyz
'x,y,z'
'-x,-y,-z'
'-x,y,-z'
'x,-y,z'
'x+1/2,y+1/2,z'
'-x+1/2,-y+1/2,-z'
'-x+1/2,y+1/2,-z'
'x+1/2,-y+1/2,z'
loop_
_atom_site_label
_atom_site_type_symbol
_atom_site_fract_x
_atom_site_fract_y
_atom_site_fract_z
Cs1 Cs 0.000 0.155 0.000
Ca1 Ca 0.000 0.500 0.000
Tl1 Tl 0.000 0.335 0.500
Cl1 Cl 0.182 0.500 0.755
Cl2 Cl 0.199 0.357 0.216
```


Record 2
NbAg2Ge2: theoretical powder X-ray diffraction pattern (a wavelength of 1.5418 Å), based on a PBE-relaxed structure.

Principal peaks in the range 2θ = 10–90°, by angle:
(1 1 1), 33.00 deg, rel. 23; (2 2 0), 33.74 deg, rel. 9; (3 1 0), 37.86 deg, rel. 61; (2 1 1), 39.15 deg, rel. 100; (4 0 0), 48.46 deg, rel. 7; (3 2 1), 52.62 deg, rel. 8; (4 0 1), 57.05 deg, rel. 10; (0 0 2), 58.47 deg, rel. 20; (3 1 2), 71.79 deg, rel. 17; (5 2 1), 74.32 deg, rel. 19; (5 3 1), 80.50 deg, rel. 8; (4 2 2), 84.15 deg, rel. 7

```
data_NbAg2Ge2
_cell_length_a 7.514
_cell_length_b 7.514
_cell_length_c 3.157
_cell_angle_alpha 90.00
_cell_angle_beta 90.00
_cell_angle_gamma 90.00
_space_group_name_H-M_alt 'P 4/m b m'
_space_group_IT_number 127
_space_group_name_Hall '-P 4 2ab'
loop_
_atom_site_label
_atom_site_type_symbol
_atom_site_fract_x
_atom_site_fract_y
_atom_site_fract_z
Nb1 Nb 0.000 0.000 0.000
Ag1 Ag 0.137 0.363 0.500
Ge1 Ge 0.164 0.664 0.000
```


Record 3
Ti6Nb5Pt: theoretical powder X-ray diffraction pattern (a wavelength of 1.5418 Å), based on a PBE-relaxed structure.

Principal peaks in the range 2θ = 10–90°, by angle:
(1 1 0), 15.02 deg, rel. 4; (2 0 0), 27.25 deg, rel. 9; (1 3 -1), 27.63 deg, rel. 16; (2 0 -2), 39.21 deg, rel. 100; (0 6 0), 39.71 deg, rel. 19; (4 0 0), 56.21 deg, rel. 7; (2 6 -2), 57.06 deg, rel. 13; (1 3 -3), 71.02 deg, rel. 13; (5 3 -3), 71.16 deg, rel. 6; (1 9 1), 71.73 deg, rel. 12; (2 6 2), 84.18 deg, rel. 4; (4 0 -4), 84.36 deg, rel. 6

```
data_Ti6Nb5Pt
_cell_length_a 7.986
_cell_length_b 13.618
_cell_length_c 4.592
_cell_angle_alpha 90.00
_cell_angle_beta 124.96
_cell_angle_gamma 90.00
_space_group_name_H-M_alt 'C 1 2/m 1'
_space_group_IT_number 12
loop_
_space_group_symop_operation_xyz
'x,y,z'
'-x,-y,-z'
'-x,y,-z'
'x,-y,z'
'x+1/2,y+1/2,z'
'-x+1/2,-y+1/2,-z'
'-x+1/2,y+1/2,-z'
'x+1/2,-y+1/2,z'
loop_
_atom_site_label
_atom_site_type_symbol
_atom_site_fract_x
_atom_site_fract_y
_atom_site_fract_z
Ti1 Ti 0.239 0.000 0.239
Ti2 Ti 0.245 0.163 0.745
Nb1 Nb 0.000 0.173 0.000
Nb2 Nb 0.000 0.339 0.500
Nb3 Nb 0.000 0.500 0.000
Pt1 Pt 0.000 0.000 0.500
```


Record 4
AcPr6Nd8: theoretical powder X-ray diffraction pattern (a wavelength of 1.5418 Å), based on a PBE-relaxed structure.

Principal peaks in the range 2θ = 10–90°, by angle:
(0 1 5), 25.72 deg, rel. 14; (2 1 1), 27.55 deg, rel. 17; (0 2 4), 27.90 deg, rel. 17; (0 0 6), 28.35 deg, rel. 28; (1 2 2), 28.77 deg, rel. 100; (3 0 0), 30.85 deg, rel. 24; (3 -1 4), 33.22 deg, rel. 90; (1 1 6), 33.61 deg, rel. 25; (1 2 8), 47.42 deg, rel. 22; (4 1 0), 47.95 deg, rel. 24; (6 -2 2), 56.90 deg, rel. 12; (2 4 4), 59.58 deg, rel. 14

```
data_AcPr6Nd8
_cell_length_a 10.0393
_cell_length_b 10.0393
_cell_length_c 18.8854
_cell_angle_alpha 90.00
_cell_angle_beta 90.00
_cell_angle_gamma 120.00
_space_group_name_H-M_alt 'R -3'
_space_group_IT_number 148
_space_group_name_Hall '-R 3'
loop_
_atom_site_label
_atom_site_type_symbol
_atom_site_fract_x
_atom_site_fract_y
_atom_site_fract_z
Ac1 Ac 0.0000 0.0000 0.0000
Pr1 Pr 0.0215 0.7849 0.4050
Nd1 Nd 0.0000 0.0000 0.2306
Nd2 Nd 0.0434 0.7562 0.8991
```


Record 5
BaCaLa2Ru: theoretical powder X-ray diffraction pattern (a wavelength of 1.5418 Å), based on a PBE-relaxed structure.

Principal peaks in the range 2θ = 10–90°, by angle:
(0 0 1), 14.51 deg, rel. 37; (1 0 1), 21.66 deg, rel. 54; (1 1 1), 27.04 deg, rel. 100; (0 0 2), 29.26 deg, rel. 52; (2 0 0), 32.32 deg, rel. 81; (2 1 1), 39.24 deg, rel. 23; (2 0 2), 44.15 deg, rel. 67; (2 2 0), 46.35 deg, rel. 29; (1 1 3), 50.55 deg, rel. 18; (3 1 1), 54.49 deg, rel. 28; (2 2 2), 55.76 deg, rel. 33; (4 2 2), 84.38 deg, rel. 20

```
data_BaCaLa2Ru
_cell_length_a 5.541
_cell_length_b 5.541
_cell_length_c 6.104
_cell_angle_alpha 90.00
_cell_angle_beta 90.00
_cell_angle_gamma 90.00
_space_group_name_H-M_alt 'P 4/m m m'
_space_group_IT_number 123
_space_group_name_Hall '-P 4 2'
loop_
_atom_site_label
_atom_site_type_symbol
_atom_site_fract_x
_atom_site_fract_y
_atom_site_fract_z
Ba1 Ba 0.000 0.000 0.000
Ca1 Ca 0.500 0.500 0.000
La1 La 0.000 0.500 0.500
Ru1 Ru 0.500 0.500 0.500
```


Record 6
NaInHg2Pb: theoretical powder X-ray diffraction pattern (a wavelength of 1.5418 Å), based on a PBE-relaxed structure.

Principal peaks in the range 2θ = 10–90°, by angle:
(1 0 0), 20.35 deg, rel. 60; (0 1 2), 34.37 deg, rel. 100; (1 1 0), 35.64 deg, rel. 71; (2 0 0), 41.39 deg, rel. 10; (1 1 2), 45.53 deg, rel. 11; (2 0 2), 50.35 deg, rel. 34; (1 0 4), 60.73 deg, rel. 16; (1 2 2), 63.21 deg, rel. 35; (3 0 0), 64.02 deg, rel. 13; (0 2 4), 72.44 deg, rel. 10; (2 1 4), 83.44 deg, rel. 13; (3 1 2), 85.64 deg, rel. 16

```
data_NaInHg2Pb
_cell_length_a 5.0379
_cell_length_b 5.0379
_cell_length_c 6.5113
_cell_angle_alpha 90.00
_cell_angle_beta 90.00
_cell_angle_gamma 120.00
_space_group_name_H-M_alt 'P 3 m 1'
_space_group_IT_number 156
loop_
_space_group_symop_operation_xyz
'x,y,z'
'-y,x-y,z'
'-x+y,-x,z'
'-y,-x,z'
'-x+y,y,z'
'x,x-y,z'
loop_
_atom_site_label
_atom_site_type_symbol
_atom_site_fract_x
_atom_site_fract_y
_atom_site_fract_z
Na1 Na 0.0000 0.0000 0.0000
In1 In 0.3333 0.6667 0.6591
Hg1 Hg 0.3333 0.6667 0.1658
Hg2 Hg 0.6667 0.3333 0.8367
Pb1 Pb 0.6667 0.3333 0.3533
```


Record 7
Nd2Co7B3: theoretical powder X-ray diffraction pattern (a wavelength of 1.5418 Å), based on a PBE-relaxed structure.

Principal peaks in the range 2θ = 10–90°, by angle:
(1 0 0), 19.99 deg, rel. 21; (1 0 4), 34.71 deg, rel. 97; (1 1 0), 34.99 deg, rel. 25; (2 0 0), 40.62 deg, rel. 100; (1 1 4), 45.45 deg, rel. 83; (2 1 4), 62.57 deg, rel. 35; (3 0 4), 70.12 deg, rel. 22; (2 0 8), 73.24 deg, rel. 14; (2 2 0), 73.92 deg, rel. 23; (2 0 9), 80.60 deg, rel. 12; (3 1 4), 84.32 deg, rel. 15; (4 0 0), 87.94 deg, rel. 10

```
data_Nd2Co7B3
_cell_length_a 5.1288
_cell_length_b 5.1288
_cell_length_c 12.7136
_cell_angle_alpha 90.00
_cell_angle_beta 90.00
_cell_angle_gamma 120.00
_space_group_name_H-M_alt 'P 6/m m m'
_space_group_IT_number 191
_space_group_name_Hall '-P 6 2'
loop_
_atom_site_label
_atom_site_type_symbol
_atom_site_fract_x
_atom_site_fract_y
_atom_site_fract_z
Nd1 Nd 0.0000 0.0000 0.0000
Nd2 Nd 0.0000 0.0000 0.2397
Nd3 Nd 0.0000 0.0000 0.5000
Co1 Co 0.0000 0.5000 0.1150
Co2 Co 0.0000 0.5000 0.3436
Co3 Co 0.3333 0.6667 0.5000
B1 B 0.3333 0.6667 0.0000
B2 B 0.3333 0.6667 0.2311
```


Record 8
Cd2WS: theoretical powder X-ray diffraction pattern (a wavelength of 1.5418 Å), based on a PBE-relaxed structure.

Principal peaks in the range 2θ = 10–90°, by angle:
(2 2 0), 28.92 deg, rel. 85; (2 1 1), 29.99 deg, rel. 100; (3 0 1), 36.51 deg, rel. 40; (4 0 0), 41.36 deg, rel. 22; (1 1 2), 41.83 deg, rel. 48; (4 2 0), 46.51 deg, rel. 18; (3 1 2), 51.65 deg, rel. 34; (4 3 1), 56.33 deg, rel. 28; (5 2 1), 60.52 deg, rel. 14; (5 1 2), 68.22 deg, rel. 12; (3 2 3), 72.90 deg, rel. 12; (6 4 0), 79.08 deg, rel. 13

```
data_Cd2WS
_cell_length_a 8.733
_cell_length_b 8.733
_cell_length_c 4.610
_cell_angle_alpha 90.00
_cell_angle_beta 90.00
_cell_angle_gamma 90.00
_space_group_name_H-M_alt 'I -4 2 d'
_space_group_IT_number 122
_space_group_name_Hall 'I -4 2bw'
loop_
_atom_site_label
_atom_site_type_symbol
_atom_site_fract_x
_atom_site_fract_y
_atom_site_fract_z
Cd1 Cd 0.167 0.750 0.125
W1 W 0.000 0.000 0.500
S1 S 0.000 0.000 0.000
```


Record 9
Na2AcTbO4: theoretical powder X-ray diffraction pattern (a wavelength of 1.5418 Å), based on a PBE-relaxed structure.

Principal peaks in the range 2θ = 10–90°, by angle:
(1 0 0), 15.68 deg, rel. 100; (1 0 -2), 28.61 deg, rel. 21; (0 1 1), 28.94 deg, rel. 42; (0 0 2), 30.27 deg, rel. 69; (2 0 0), 31.67 deg, rel. 21; (2 0 -2), 35.20 deg, rel. 29; (1 1 1), 35.67 deg, rel. 56; (2 1 -1), 39.00 deg, rel. 17; (2 1 1), 47.53 deg, rel. 13; (1 1 -3), 50.01 deg, rel. 21; (0 2 0), 50.48 deg, rel. 10; (3 1 -1), 51.94 deg, rel. 18

```
data_Na2AcTbO4
_cell_length_a 6.052
_cell_length_b 3.616
_cell_length_c 6.337
_cell_angle_alpha 90.00
_cell_angle_beta 110.99
_cell_angle_gamma 90.00
_space_group_name_H-M_alt 'P 1 2/m 1'
_space_group_IT_number 10
loop_
_space_group_symop_operation_xyz
'x,y,z'
'-x,-y,-z'
'-x,y,-z'
'x,-y,z'
loop_
_atom_site_label
_atom_site_type_symbol
_atom_site_fract_x
_atom_site_fract_y
_atom_site_fract_z
Na1 Na 0.000 0.000 0.000
Na2 Na 0.000 0.500 0.500
Ac1 Ac 0.500 0.000 0.500
Tb1 Tb 0.500 0.500 0.000
O1 O 0.283 0.500 0.237
O2 O 0.286 0.000 0.775
```


Record 10
Li5CaMg7: theoretical powder X-ray diffraction pattern (a wavelength of 1.5418 Å), based on a PBE-relaxed structure.

Principal peaks in the range 2θ = 10–90°, by angle:
(0 0 2), 17.12 deg, rel. 28; (1 2 1), 25.16 deg, rel. 13; (1 0 3), 30.53 deg, rel. 23; (1 3 0), 30.68 deg, rel. 40; (2 0 0), 32.38 deg, rel. 35; (0 0 4), 34.65 deg, rel. 15; (0 4 0), 34.89 deg, rel. 11; (1 2 3), 35.31 deg, rel. 100; (2 0 2), 36.89 deg, rel. 34; (2 2 2), 40.96 deg, rel. 11; (3 2 3), 59.67 deg, rel. 22; (1 3 6), 62.54 deg, rel. 16

```
data_Li5CaMg7
_cell_length_a 5.529
_cell_length_b 10.285
_cell_length_c 10.357
_cell_angle_alpha 90.00
_cell_angle_beta 90.00
_cell_angle_gamma 90.00
_space_group_name_H-M_alt 'I m m 2'
_space_group_IT_number 44
loop_
_space_group_symop_operation_xyz
'x,y,z'
'-x,-y,z'
'-x,y,z'
'x,-y,z'
'x+1/2,y+1/2,z+1/2'
'-x+1/2,-y+1/2,z+1/2'
'-x+1/2,y+1/2,z+1/2'
'x+1/2,-y+1/2,z+1/2'
loop_
_atom_site_label
_atom_site_type_symbol
_atom_site_fract_x
_atom_site_fract_y
_atom_site_fract_z
Li1 Li 0.000 0.000 0.000
Li2 Li 0.250 0.248 0.970
Ca1 Ca 0.000 0.500 0.720
Mg1 Mg 0.000 0.000 0.438
Mg2 Mg 0.000 0.147 0.720
Mg3 Mg 0.000 0.212 0.219
Mg4 Mg 0.000 0.500 0.075
Mg5 Mg 0.000 0.500 0.368
```


Record 11
Pm3Ho2Cd6: theoretical powder X-ray diffraction pattern (a wavelength of 1.5418 Å), based on a PBE-relaxed structure.

Principal peaks in the range 2θ = 10–90°, by angle:
(1 0 3), 22.30 deg, rel. 16; (1 0 5), 24.37 deg, rel. 36; (1 1 0), 29.94 deg, rel. 19; (1 1 2), 30.35 deg, rel. 48; (1 1 6), 33.45 deg, rel. 54; (1 0 11), 34.41 deg, rel. 100; (1 1 8), 35.98 deg, rel. 35; (2 0 0), 42.86 deg, rel. 52; (2 1 11), 56.08 deg, rel. 54; (2 2 0), 62.22 deg, rel. 17; (1 1 22), 64.31 deg, rel. 29; (3 0 11), 73.08 deg, rel. 15

```
data_Pm3Ho2Cd6
_cell_length_a 4.220
_cell_length_b 4.220
_cell_length_c 36.450
_cell_angle_alpha 90.00
_cell_angle_beta 90.00
_cell_angle_gamma 90.00
_space_group_name_H-M_alt 'I 4/m m m'
_space_group_IT_number 139
_space_group_name_Hall '-I 4 2'
loop_
_atom_site_label
_atom_site_type_symbol
_atom_site_fract_x
_atom_site_fract_y
_atom_site_fract_z
Pm1 Pm 0.000 0.000 0.000
Pm2 Pm 0.000 0.000 0.185
Ho1 Ho 0.000 0.000 0.366
Cd1 Cd 0.000 0.000 0.275
Cd2 Cd 0.000 0.500 0.069
```


Record 12
ZnHRh4: theoretical powder X-ray diffraction pattern (a wavelength of 1.5418 Å), based on a PBE-relaxed structure.

Principal peaks in the range 2θ = 10–90°, by angle:
(0 2 0), 37.91 deg, rel. 14; (5 1 0), 38.30 deg, rel. 49; (0 0 2), 38.84 deg, rel. 70; (5 1 -1), 41.89 deg, rel. 79; (0 2 1), 42.80 deg, rel. 100; (5 1 1), 44.39 deg, rel. 79; (5 1 -2), 53.58 deg, rel. 16; (5 1 2), 57.73 deg, rel. 14; (5 3 0), 68.73 deg, rel. 27; (0 2 3), 73.04 deg, rel. 15; (5 3 -2), 80.12 deg, rel. 13; (5 3 2), 83.53 deg, rel. 28

```
data_ZnHRh4
_cell_length_a 13.565
_cell_length_b 4.747
_cell_length_c 4.652
_cell_angle_alpha 90.00
_cell_angle_beta 94.51
_cell_angle_gamma 90.00
_space_group_name_H-M_alt 'C 1 2/c 1'
_space_group_IT_number 15
loop_
_space_group_symop_operation_xyz
'x,y,z'
'-x,-y,-z'
'-x,y,-z+1/2'
'x,-y,z+1/2'
'x+1/2,y+1/2,z'
'-x+1/2,-y+1/2,-z'
'-x+1/2,y+1/2,-z+1/2'
'x+1/2,-y+1/2,z+1/2'
loop_
_atom_site_label
_atom_site_type_symbol
_atom_site_fract_x
_atom_site_fract_y
_atom_site_fract_z
Zn1 Zn 0.000 0.166 0.250
H1 H 0.250 0.250 0.000
Rh1 Rh 0.098 0.340 0.774
Rh2 Rh 0.191 0.151 0.288
```


Record 13
Pr6Ho12Er: theoretical powder X-ray diffraction pattern (a wavelength of 1.5418 Å), based on a PBE-relaxed structure.

Principal peaks in the range 2θ = 10–90°, by angle:
(1 3 1), 28.85 deg, rel. 27; (1 0 4), 29.26 deg, rel. 52; (3 1 2), 31.39 deg, rel. 60; (0 3 3), 31.52 deg, rel. 65; (4 0 1), 31.91 deg, rel. 100; (0 4 2), 34.24 deg, rel. 43; (2 2 3), 34.36 deg, rel. 26; (3 2 1), 34.72 deg, rel. 25; (3 0 6), 49.28 deg, rel. 22; (4 4 0), 55.32 deg, rel. 26; (4 3 4), 56.69 deg, rel. 29; (4 7 3), 84.34 deg, rel. 19

```
data_Pr6Ho12Er
_cell_length_a 13.2855
_cell_length_b 13.2855
_cell_length_c 12.6639
_cell_angle_alpha 90.00
_cell_angle_beta 90.00
_cell_angle_gamma 120.00
_space_group_name_H-M_alt 'R -3 m'
_space_group_IT_number 166
_space_group_name_Hall '-R 3 2"'
loop_
_atom_site_label
_atom_site_type_symbol
_atom_site_fract_x
_atom_site_fract_y
_atom_site_fract_z
Pr1 Pr 0.0401 0.5200 0.1169
Ho1 Ho 0.0000 0.2561 0.0000
Ho2 Ho 0.0913 0.1826 0.7640
Er1 Er 0.0000 0.0000 0.5000
```